No. 1
La5Tb6Pm: theoretical powder diffractogram (Cu Kα X-rays), based on the PBE geometry in Alexandria.
Lines closer than 0.1° are merged.

```
La5Tb6Pm
1.0
-2.610 5.053 7.787
2.610 -5.053 7.787
2.610 5.053 -7.787
La Tb Pm
5 6 1
direct
0.000 0.000 0.000
0.167 0.667 0.500
0.334 0.334 0.000
0.666 0.666 0.000
0.833 0.333 0.500
0.084 0.834 0.251
0.251 0.500 0.751
0.417 0.166 0.251
0.583 0.834 0.749
0.749 0.500 0.249
0.916 0.166 0.749
0.500 0.000 0.500
```

The 6 most intense peaks (15 to 90 degrees two-theta), low angle first:
| 2θ (°) | I/Imax |
| --- | --- |
| 30.04 | 100 |
| 34.36 | 18 |
| 34.55 | 17 |
| 35.54 | 16 |
| 58.89 | 15 |
| 59.14 | 15 |

=====

No. 2
SrZn2Pd6: theoretical powder diffractogram (Cu Kα X-rays), based on the PBE geometry in Alexandria.
Lines closer than 0.1° are merged.

```
SrZn2Pd6
1.0
0.000 5.711 5.711
5.711 0.000 5.711
5.711 5.711 0.000
Sr Zn Pd
2 4 12
direct
0.125 0.125 0.125
0.875 0.875 0.875
0.000 0.500 0.500
0.500 0.000 0.500
0.500 0.500 0.000
0.500 0.500 0.500
0.124 0.124 0.626
0.124 0.626 0.124
0.124 0.626 0.626
0.374 0.374 0.876
0.374 0.876 0.374
0.374 0.876 0.876
0.626 0.124 0.124
0.626 0.124 0.626
0.626 0.626 0.124
0.876 0.374 0.374
0.876 0.374 0.876
0.876 0.876 0.374
```

The 6 most intense peaks (15 to 90 degrees two-theta), low angle first:
| 2θ (°) | I/Imax |
| --- | --- |
| 25.87 | 21 |
| 31.33 | 63 |
| 44.89 | 100 |
| 55.76 | 16 |
| 74.27 | 20 |
| 82.80 | 32 |